This entry pairs a crystal structure of FeAgO3 with its calculated powder X-ray diffraction pattern. Radiation: a wavelength of 1.5418 Å. Structure: a DFT-relaxed cell (PBE+U, the Materials Project).
Intensities are scaled so that the largest is 100.

Cell and atoms:
Lattice parameters (Å, degrees): 3.8624 3.8624 3.8624 90.00 90.00 90.00
Positions (direct):
Fe 0.0000 0.0000 0.0000
Ag 0.5000 0.5000 0.5000
O 0.0000 0.0000 0.5000
O 0.0000 0.5000 0.0000
O 0.5000 0.0000 0.0000

Peak list (10 most intense, 10° ≤ 2θ ≤ 90°, in order of rising 2θ)
h k l	2θ/deg	intensity
1 0 0	23.03	6
1 1 0	32.79	100
1 1 1	40.45	16
2 0 0	47.06	34
2 1 0	53.01	3
2 1 1	58.54	36
2 2 0	68.74	19
3 1 0	78.27	15
3 1 1	82.90	5
2 2 2	87.49	6